Structure and calculated X-ray diffraction stick pattern of Co2AgH (a crystal structure in Alexandria, relaxed with PBE; Cu Kα, 1.54184 Å).
Neutral-atom scattering factors, no anomalous dispersion.

Cell and atoms:
a b c (Å): 4.968 6.985 5.037
angles (deg): 90.00 90.00 90.00
Space group Ima2 (No. 46)
Symmetry-distinct sites (fractional):
Co 0.000 0.000 0.000 (multiplicity 4)
Co 0.250 0.240 0.232 (multiplicity 4)
Ag 0.250 0.638 0.949 (multiplicity 4)
H 0.250 0.020 0.778 (multiplicity 4)

The 10 most intense peaks (5° ≤ 2θ ≤ 70°), sorted by position:
Position (°2θ)	d [Å]	Rel. int.
35.65	2.519	19
36.15	2.485	100
42.26	2.139	87
42.60	2.122	72
42.79	2.113	50
42.90	2.108	28
44.34	2.043	20
44.77	2.024	34
65.01	1.435	20
69.22	1.357	18

---

Structure and calculated X-ray diffraction stick pattern of LaCoAgH6 (a crystal structure in Alexandria, relaxed with PBE; Cu Kα, 1.54184 Å).
Neutral-atom scattering factors, no anomalous dispersion.

Cell and atoms:
a b c (Å): 4.6935 4.6935 4.3519
angles (deg): 90.00 90.00 120.00
Space group P-6m2 (No. 187)
Symmetry-distinct sites (fractional):
La 0.0000 0.0000 0.0000 (multiplicity 1)
Co 0.6667 0.3333 0.5000 (multiplicity 1)
Ag 0.3333 0.6667 0.5000 (multiplicity 1)
H 0.5266 0.0532 0.2427 (multiplicity 6)

The 10 most intense peaks (5° ≤ 2θ ≤ 70°), sorted by position:
Position (°2θ)	d [Å]	Rel. int.
21.87	4.065	8
30.08	2.971	100
38.36	2.347	47
41.50	2.176	12
47.39	1.918	3
49.50	1.841	25
57.78	1.596	28
64.30	1.449	22
68.70	1.366	9
69.36	1.355	8

---

Structure and calculated X-ray diffraction stick pattern of CoAg2Hg (a crystal structure in Alexandria, relaxed with PBE; Cu Kα, 1.54184 Å).
Neutral-atom scattering factors, no anomalous dispersion.

Cell and atoms:
a b c (Å): 9.600 2.938 5.001
angles (deg): 90.00 102.62 90.00
Space group Cm (No. 8)
Symmetry-distinct sites (fractional):
Co 0.000 0.000 0.000 (multiplicity 2)
Ag 0.006 0.500 0.505 (multiplicity 2)
Ag 0.265 0.000 0.740 (multiplicity 2)
Hg 0.242 0.500 0.219 (multiplicity 2)

The 10 most intense peaks (5° ≤ 2θ ≤ 70°), sorted by position:
Position (°2θ)	d [Å]	Rel. int.
18.95	4.684	21
35.88	2.503	10
37.66	2.389	51
38.05	2.365	100
38.44	2.342	47
43.56	2.078	68
45.51	1.993	28
63.30	1.469	21
64.29	1.449	20
65.35	1.428	18

---

Structure and calculated X-ray diffraction stick pattern of Ho12Co6Ag (a crystal structure in Alexandria, relaxed with PBE; Cu Kα, 1.54184 Å).
Neutral-atom scattering factors, no anomalous dispersion.

Cell and atoms:
a b c (Å): 9.574 9.574 9.574
angles (deg): 90.00 90.00 90.00
Space group Im-3 (No. 204)
Symmetry-distinct sites (fractional):
Ho 0.000 0.302 0.195 (multiplicity 24)
Co 0.000 0.114 0.500 (multiplicity 12)
Ag 0.000 0.000 0.000 (multiplicity 2)

The 10 most intense peaks (5° ≤ 2θ ≤ 70°), sorted by position:
Position (°2θ)	d [Å]	Rel. int.
26.33	3.385	9
29.50	3.028	47
32.39	2.764	56
35.07	2.559	100
37.58	2.394	21
48.48	1.878	23
56.00	1.642	38
57.78	1.596	12
59.52	1.553	39
69.41	1.354	21